[1]
For CuSb2Br, a cell relaxed with PBE gives the calculated powder XRD pattern in this record (Cu Ka).

Lattice parameters (Å, degrees): 5.434 8.908 4.239 90.00 90.00 90.00
Space group Cmmm (No. 65)
Symmetry-distinct sites (fractional):
Cu1 0.000 0.000 0.000 (multiplicity 2)
Sb1 0.000 0.175 0.500 (multiplicity 4)
Br1 0.000 0.500 0.000 (multiplicity 2)

Peak list (6 most intense, 10 to 80 degrees two-theta, sorted by position)
2θ/deg  I/Imax
28.52  37.0
29.08  100.0
32.97  64.6
34.42  47.0
40.64  48.0
44.53  61.0

=====

[2]
For Ba3Ga8Ge3, a cell relaxed with PBE gives the calculated powder XRD pattern in this record (Cu Ka).

Lattice parameters (Å, degrees): 17.504 4.396 9.897 90.00 110.81 90.00
Space group C2/m (No. 12)
Symmetry-distinct sites (fractional):
Ba1 0.000 0.000 0.000 (multiplicity 2)
Ba2 0.208 0.500 0.675 (multiplicity 4)
Ga1 0.023 0.500 0.707 (multiplicity 4)
Ga2 0.118 0.000 0.401 (multiplicity 4)
Ga3 0.121 0.500 0.270 (multiplicity 4)
Ga4 0.174 0.000 0.908 (multiplicity 4)
Ge1 0.000 0.000 0.500 (multiplicity 2)
Ge2 0.166 0.500 0.048 (multiplicity 4)

Peak list (6 most intense, 10 to 80 degrees two-theta, sorted by position)
2θ/deg  I/Imax
29.84  100.0
31.62  22.6
32.70  29.5
37.55  24.0
41.06  31.7
44.20  21.8

=====

[3]
For Y6CoBr10, a cell relaxed with PBE gives the calculated powder XRD pattern in this record (Cu Ka).

Lattice parameters (Å, degrees): 7.352 9.070 9.234 107.54 96.63 104.44
Space group P-1 (No. 2)
Symmetry-distinct sites (fractional):
Y1 0.037 0.217 0.415 (multiplicity 2)
Y2 0.124 0.548 0.256 (multiplicity 2)
Y3 0.354 0.631 0.674 (multiplicity 2)
Co1 0.000 0.500 0.500 (multiplicity 1)
Br1 0.087 0.873 0.327 (multiplicity 2)
Br2 0.225 0.248 0.158 (multiplicity 2)
Br3 0.247 0.583 0.956 (multiplicity 2)
Br4 0.336 0.948 0.772 (multiplicity 2)
Br5 0.454 0.318 0.587 (multiplicity 2)

Peak list (6 most intense, 10 to 80 degrees two-theta, sorted by position)
2θ/deg  I/Imax
10.27  44.8
10.72  42.6
29.58  100.0
30.63  99.7
31.18  99.1
43.31  64.8

=====

[4]
For Dy2HoHg3, a cell relaxed with PBE gives the calculated powder XRD pattern in this record (Cu Ka).

Lattice parameters (Å, degrees): 5.2478 5.2478 12.9173 90.00 90.00 120.00
Space group P-3m1 (No. 164)
Symmetry-distinct sites (fractional):
Dy1 0.0000 0.0000 0.0000 (multiplicity 1)
Dy2 0.0000 0.0000 0.5000 (multiplicity 1)
Dy3 0.3333 0.6667 0.1672 (multiplicity 2)
Ho1 0.3333 0.6667 0.6668 (multiplicity 2)
Hg1 0.0000 0.0000 0.2505 (multiplicity 2)
Hg2 0.3333 0.6667 0.4169 (multiplicity 2)
Hg3 0.3333 0.6667 0.9165 (multiplicity 2)

Peak list (6 most intense, 10 to 80 degrees two-theta, sorted by position)
2θ/deg  I/Imax
34.06  100.0
34.17  99.1
49.02  36.3
60.89  19.1
61.13  56.6
71.71  11.8

=====

[5]
For CsTl5F6, a cell relaxed with PBE gives the calculated powder XRD pattern in this record (Cu Ka).

Lattice parameters (Å, degrees): 7.115 12.251 7.042 90.00 108.41 90.00
Space group C2/m (No. 12)
Symmetry-distinct sites (fractional):
Cs1 0.000 0.000 0.000 (multiplicity 2)
Tl1 0.000 0.177 0.500 (multiplicity 4)
Tl2 0.000 0.336 0.000 (multiplicity 4)
Tl3 0.000 0.500 0.500 (multiplicity 2)
F1 0.197 0.500 0.206 (multiplicity 4)
F2 0.225 0.328 0.722 (multiplicity 8)

Peak list (6 most intense, 10 to 80 degrees two-theta, sorted by position)
2θ/deg  I/Imax
26.40  50.0
26.69  49.8
26.79  92.8
30.75  100.0
31.16  49.9
44.17  36.9

=====

[6]
For LiTbScCu, a cell relaxed with PBE gives the calculated powder XRD pattern in this record (Cu Ka).

Lattice parameters (Å, degrees): 6.907 6.907 6.907 90.00 90.00 90.00
Space group F-43m (No. 216)
Symmetry-distinct sites (fractional):
Li1 0.000 0.000 0.000 (multiplicity 4)
Tb1 0.250 0.250 0.250 (multiplicity 4)
Sc1 0.250 0.250 0.750 (multiplicity 4)
Cu1 0.000 0.000 0.500 (multiplicity 4)

Peak list (6 most intense, 10 to 80 degrees two-theta, sorted by position)
2θ/deg  I/Imax
22.29  51.8
25.80  27.2
36.80  100.0
43.45  28.0
53.03  17.0
66.29  33.8